For ScBiN2, a PBE-relaxed structure gives the computed powder XRD pattern in this record (CuKα).
Peak positions follow from Bragg's law for the DFT cell and can differ from measured ones.

Most intense lines, 10 to 90 degrees two-theta, by angle:
| (hkl) | d_spacing | I (rel.) |
| --- | --- | --- |
| 1 0 1 | 4.678 | 52 |
| 1 1 2 | 3.014 | 100 |
| 2 0 0 | 2.623 | 28 |
| 2 1 1 | 2.288 | 21 |
| 2 0 4 | 1.841 | 28 |
| 3 1 2 | 1.580 | 30 |

Crystal structure
```
data_ScBiN2
_cell_length_a 5.2466
_cell_length_b 5.2466
_cell_length_c 10.3334
_cell_angle_alpha 90.00
_cell_angle_beta 90.00
_cell_angle_gamma 90.00
_symmetry_space_group_name_H-M 'I -4 2 d'
_symmetry_Int_Tables_number 122
_symmetry_space_group_name_Hall 'I -4 2bw'
loop_
_atom_site_label
_atom_site_fract_x
_atom_site_fract_y
_atom_site_fract_z
Sc1 0.0000 0.0000 0.0000
Bi1 0.0000 0.0000 0.5000
N1 0.2018 0.2500 0.1250
```



For Rb2Be2HgI6, a PBE-relaxed structure gives the computed powder XRD pattern in this record (CuKα).
Peak positions follow from Bragg's law for the DFT cell and can differ from measured ones.

Most intense lines, 10 to 90 degrees two-theta, by angle:
| (hkl) | d_spacing | I (rel.) |
| --- | --- | --- |
| 1 1 1 | 6.642 | 41 |
| 1 0 2 | 4.670 | 50 |
| 2 1 0 | 3.831 | 100 |
| 0 2 -1 | 3.682 | 81 |
| 2 -1 1 | 3.129 | 70 |
| 0 2 2 | 2.996 | 43 |

Crystal structure
```
data_Rb2Be2HgI6
_cell_length_a 8.5480
_cell_length_b 8.7920
_cell_length_c 9.7119
_cell_angle_alpha 80.26
_cell_angle_beta 64.41
_cell_angle_gamma 67.95
_symmetry_space_group_name_H-M 'P -1'
_symmetry_Int_Tables_number 2
loop_
_symmetry_equiv_pos_as_xyz
'x,y,z'
'-x,-y,-z'
loop_
_atom_site_label
_atom_site_fract_x
_atom_site_fract_y
_atom_site_fract_z
Rb1 0.1802 0.2020 0.2891
Be1 0.2040 0.0641 0.7281
Hg1 0.5000 0.5000 0.0000
I1 0.0339 0.3288 0.6876
I2 0.2817 0.8580 0.5658
I3 0.3037 0.9991 0.9240
```